Calculated powder diffraction line list
Compound: KFeTcO4
Radiation: Cu Kα
Structure: a cell relaxed with GGA+U
Lines closer than 0.1° are merged.

The 10 most intense peaks (5 to 70 degrees two-theta), most intense first:
12.3 deg, I 100, hkl 0 0 1
26.1 deg, I 60, hkl 1 0 -2
30.5 deg, I 55, hkl 0 2 0
19.5 deg, I 50, hkl 0 1 1
27.7 deg, I 48, hkl 1 1 1
36.2 deg, I 41, hkl 2 1 -1
40.6 deg, I 33, hkl 1 2 -2
29.1 deg, I 29, hkl 0 1 2
23.6 deg, I 21, hkl 1 1 -1
36.9 deg, I 17, hkl 2 1 0

Structure:
```
data_KFeTcO4
_chemical_formula_sum 'K2 Fe2 Tc2 O8'
_cell_length_a 5.524
_cell_length_b 5.859
_cell_length_c 7.451
_cell_angle_alpha 90.00
_cell_angle_beta 104.42
_cell_angle_gamma 90.00
_symmetry_space_group_name_H-M 'P 1 21/m 1'
_symmetry_Int_Tables_number 11
_symmetry_space_group_name_Hall '-P 2yb'
loop_
_atom_site_label
_atom_site_type_symbol
_atom_site_fract_x
_atom_site_fract_y
_atom_site_fract_z
K1 K 0.133 0.250 0.125
Fe1 Fe 0.137 0.750 0.495
Tc1 Tc 0.399 0.250 0.684
O1 O 0.141 0.030 0.675
O2 O 0.333 0.750 0.126
O3 O 0.475 0.250 0.456
```